Diffraction record for Ca2NdIn2Hg2. The X-ray diffraction stick pattern is calculated, not measured: it uses a structure optimized by DFT (GGA-PBE) and a wavelength of 1.5418 Å.
Lines closer than 0.1° are merged.

Lattice parameters (Å, degrees): 9.909 9.909 9.909 29.09 29.09 29.09
Atoms (fractional coordinates):
Ca1 0.127 0.127 0.127
Ca2 0.873 0.873 0.873
Nd1 0.000 0.000 0.000
In1 0.257 0.257 0.257
In2 0.743 0.743 0.743
Hg1 0.391 0.391 0.391
Hg2 0.609 0.609 0.609

Principal peaks in the range 15° ≤ 2θ ≤ 90°, by intensity:
| Position (°2θ) | I_rel |
| --- | --- |
| 36.09 | 100 |
| 32.64 | 92 |
| 25.93 | 56 |
| 49.44 | 28 |
| 62.72 | 27 |
| 61.46 | 22 |
| 37.35 | 22 |
| 18.71 | 21 |
| 64.89 | 18 |
| 40.95 | 17 |
| 30.22 | 14 |
| 44.97 | 13 |

Diffraction record for Ti2FeB2Ru3Rh2. The X-ray diffraction stick pattern is calculated, not measured: it uses a structure optimized by DFT (GGA-PBE) and a wavelength of 1.5418 Å.
Lines closer than 0.1° are merged.

Lattice parameters (Å, degrees): 9.142 3.005 9.223 90.00 90.09 90.00
Atoms (fractional coordinates):
Ti1 0.178 0.000 0.184
Ti2 0.321 0.000 0.673
Ti3 0.679 0.000 0.327
Ti4 0.822 0.000 0.816
Fe1 0.000 0.000 0.500
Fe2 0.500 0.000 0.000
B1 0.123 0.000 0.872
B2 0.375 0.000 0.373
B3 0.625 0.000 0.627
B4 0.877 0.000 0.128
Ru1 0.072 0.500 0.714
Ru2 0.213 0.500 0.428
Ru3 0.429 0.500 0.213
Ru4 0.571 0.500 0.787
Ru5 0.787 0.500 0.572
Ru6 0.928 0.500 0.286
Rh1 0.000 0.500 0.000
Rh2 0.286 0.500 0.928
Rh3 0.500 0.500 0.500
Rh4 0.714 0.500 0.072

Principal peaks in the range 15° ≤ 2θ ≤ 90°, by intensity:
| Position (°2θ) | I_rel |
| --- | --- |
| 43.25 | 100 |
| 43.42 | 99 |
| 37.07 | 93 |
| 29.73 | 85 |
| 40.34 | 74 |
| 40.67 | 72 |
| 46.73 | 68 |
| 40.92 | 56 |
| 43.99 | 42 |
| 44.23 | 41 |
| 61.74 | 39 |
| 35.18 | 31 |

Diffraction record for Cd3Pb5. The X-ray diffraction stick pattern is calculated, not measured: it uses a structure optimized by DFT (GGA-PBE) and a wavelength of 1.5418 Å.
Lines closer than 0.1° are merged.

Lattice parameters (Å, degrees): 4.832 4.832 9.784 90.00 90.00 90.00
Atoms (fractional coordinates):
Cd1 0.000 0.000 0.000
Cd2 0.000 0.500 0.224
Cd3 0.500 0.000 0.224
Pb1 0.000 0.000 0.470
Pb2 0.000 0.500 0.737
Pb3 0.500 0.000 0.737
Pb4 0.500 0.500 0.461
Pb5 0.500 0.500 0.993

Principal peaks in the range 15° ≤ 2θ ≤ 90°, by intensity:
| Position (°2θ) | I_rel |
| --- | --- |
| 31.95 | 100 |
| 37.22 | 34 |
| 63.82 | 28 |
| 53.30 | 22 |
| 36.74 | 16 |
| 53.65 | 12 |
| 63.18 | 12 |
| 66.79 | 11 |
| 87.48 | 10 |
| 88.05 | 6 |
| 27.65 | 6 |
| 89.91 | 4 |

Diffraction record for Be8AgAs6. The X-ray diffraction stick pattern is calculated, not measured: it uses a structure optimized by DFT (GGA-PBE) and a wavelength of 1.5418 Å.
Lines closer than 0.1° are merged.

Lattice parameters (Å, degrees): 6.531 6.531 12.680 90.00 90.00 120.00
Atoms (fractional coordinates):
Be1 0.000 0.332 0.000
Be2 0.000 0.333 0.344
Be3 0.000 0.667 0.844
Be4 0.000 0.668 0.500
Be5 0.332 0.000 0.000
Be6 0.332 0.332 0.500
Be7 0.333 0.000 0.344
Be8 0.333 0.333 0.844
Be9 0.333 0.667 0.100
Be10 0.333 0.667 0.600
Be11 0.667 0.000 0.844
Be12 0.667 0.333 0.100
Be13 0.667 0.333 0.600
Be14 0.667 0.667 0.344
Be15 0.668 0.000 0.500
Be16 0.668 0.668 0.000
Ag1 0.000 0.000 0.234
Ag2 0.000 0.000 0.734
As1 0.000 0.000 0.443
As2 0.000 0.000 0.943
As3 0.000 0.381 0.170
As4 0.000 0.619 0.670
As5 0.333 0.667 0.415
As6 0.333 0.667 0.915
As7 0.381 0.000 0.170
As8 0.381 0.381 0.670
As9 0.619 0.000 0.670
As10 0.619 0.619 0.170
As11 0.667 0.333 0.415
As12 0.667 0.333 0.915

Principal peaks in the range 15° ≤ 2θ ≤ 90°, by intensity:
| Position (°2θ) | I_rel |
| --- | --- |
| 28.19 | 100 |
| 30.80 | 67 |
| 51.52 | 59 |
| 48.27 | 49 |
| 34.73 | 43 |
| 27.31 | 40 |
| 56.82 | 33 |
| 32.38 | 30 |
| 31.64 | 20 |
| 73.27 | 16 |
| 42.85 | 15 |
| 45.27 | 15 |

Diffraction record for Cs3TbI8. The X-ray diffraction stick pattern is calculated, not measured: it uses a structure optimized by DFT (GGA-PBE) and a wavelength of 1.5418 Å.
Lines closer than 0.1° are merged.

Lattice parameters (Å, degrees): 10.709 10.709 10.709 132.35 132.35 69.68
Atoms (fractional coordinates):
Cs1 0.000 0.000 0.000
Cs2 0.250 0.750 0.500
Cs3 0.750 0.250 0.500
Tb1 0.500 0.500 0.000
I1 0.177 0.177 0.569
I2 0.177 0.608 0.000
I3 0.392 0.392 0.569
I4 0.392 0.823 0.000
I5 0.608 0.177 0.000
I6 0.608 0.608 0.431
I7 0.823 0.392 0.000
I8 0.823 0.823 0.431

Principal peaks in the range 15° ≤ 2θ ≤ 90°, by intensity:
| Position (°2θ) | I_rel |
| --- | --- |
| 28.96 | 100 |
| 17.66 | 55 |
| 29.19 | 49 |
| 51.62 | 24 |
| 34.33 | 18 |
| 41.76 | 14 |
| 51.18 | 12 |
| 45.35 | 12 |
| 37.84 | 11 |
| 33.92 | 9 |
| 37.06 | 9 |
| 31.43 | 9 |

Diffraction record for Er2PaRu2. The X-ray diffraction stick pattern is calculated, not measured: it uses a structure optimized by DFT (GGA-PBE) and a wavelength of 1.5418 Å.
Lines closer than 0.1° are merged.

Lattice parameters (Å, degrees): 10.132 6.611 7.026 90.00 98.06 90.00
Atoms (fractional coordinates):
Er1 0.019 0.242 0.432
Er2 0.019 0.258 0.932
Er3 0.282 0.656 0.882
Er4 0.282 0.844 0.382
Er5 0.718 0.156 0.618
Er6 0.718 0.344 0.118
Er7 0.981 0.742 0.068
Er8 0.981 0.758 0.568
Pa1 0.362 0.169 0.001
Pa2 0.362 0.331 0.501
Pa3 0.638 0.669 0.499
Pa4 0.638 0.831 0.999
Ru1 0.195 0.041 0.724
Ru2 0.195 0.459 0.224
Ru3 0.487 0.565 0.219
Ru4 0.487 0.935 0.719
Ru5 0.513 0.065 0.281
Ru6 0.513 0.435 0.781
Ru7 0.805 0.541 0.776
Ru8 0.805 0.959 0.276

Principal peaks in the range 15° ≤ 2θ ≤ 90°, by intensity:
| Position (°2θ) | I_rel |
| --- | --- |
| 34.01 | 100 |
| 36.08 | 84 |
| 34.50 | 74 |
| 38.29 | 66 |
| 30.73 | 61 |
| 37.54 | 54 |
| 29.27 | 49 |
| 41.29 | 46 |
| 29.94 | 44 |
| 42.26 | 38 |
| 54.05 | 33 |
| 26.66 | 28 |